Simulated powder X-ray diffraction pattern of Rb2UTlI6 for Cu Kα X-rays, from a cell relaxed with PBE.

Atomic structure:
Lattice parameters (Å, degrees): 17.833 17.833 17.833 28.26 28.26 28.26
Fractional coordinates of all 20 atoms:
Rb (0.145, 0.145, 0.145)
Rb (0.313, 0.313, 0.313)
Rb (0.687, 0.687, 0.687)
Rb (0.855, 0.855, 0.855)
U (0.000, 0.000, 0.000)
U (0.500, 0.500, 0.500)
Tl (0.416, 0.416, 0.416)
Tl (0.584, 0.584, 0.584)
I (0.128, 0.632, 0.632)
I (0.204, 0.204, 0.699)
I (0.204, 0.699, 0.204)
I (0.301, 0.796, 0.796)
I (0.368, 0.368, 0.872)
I (0.368, 0.872, 0.368)
I (0.632, 0.128, 0.632)
I (0.632, 0.632, 0.128)
I (0.699, 0.204, 0.204)
I (0.796, 0.301, 0.796)
I (0.796, 0.796, 0.301)
I (0.872, 0.368, 0.368)

Main lines, low angle first (2θ = 5–70°):
| Position (°2θ) | I/Imax |
| --- | --- |
| 10.34 | 35 |
| 12.23 | 79 |
| 14.58 | 37 |
| 25.16 | 34 |
| 26.58 | 100 |
| 29.27 | 75 |
| 30.48 | 44 |
| 41.48 | 63 |

***

Simulated powder X-ray diffraction pattern of YPu3Pd4 for Cu Kα X-rays, from a cell relaxed with PBE.

Atomic structure:
Lattice parameters (Å, degrees): 3.453 5.013 10.097 90.00 90.00 90.00
Fractional coordinates of all 8 atoms:
Y (0.000, 0.000, 0.000)
Pu (0.000, 0.000, 0.500)
Pu (0.000, 0.500, 0.254)
Pu (0.000, 0.500, 0.746)
Pd (0.500, 0.000, 0.241)
Pd (0.500, 0.000, 0.759)
Pd (0.500, 0.500, 0.000)
Pd (0.500, 0.500, 0.500)

Main lines, low angle first (2θ = 5–70°):
| Position (°2θ) | I/Imax |
| --- | --- |
| 25.03 | 11 |
| 35.56 | 26 |
| 35.82 | 26 |
| 36.26 | 100 |
| 51.37 | 18 |
| 64.32 | 19 |
| 64.66 | 19 |
| 65.67 | 9 |

***

Simulated powder X-ray diffraction pattern of Ba2LiTmCu3O7 for Cu Kα X-rays, from a cell relaxed with PBE.

Atomic structure:
Lattice parameters (Å, degrees): 3.758 4.044 12.871 90.00 90.00 90.00
Fractional coordinates of all 14 atoms:
Ba (0.000, 0.000, 0.000)
Ba (0.000, 0.000, 0.311)
Li (0.000, 0.500, 0.466)
Tm (0.000, 0.000, 0.713)
Cu (0.500, 0.500, 0.177)
Cu (0.500, 0.500, 0.604)
Cu (0.500, 0.500, 0.841)
O (0.000, 0.500, 0.608)
O (0.000, 0.500, 0.818)
O (0.500, 0.000, 0.174)
O (0.500, 0.000, 0.607)
O (0.500, 0.000, 0.826)
O (0.500, 0.500, 0.031)
O (0.500, 0.500, 0.345)

Main lines, low angle first (2θ = 5–70°):
| Position (°2θ) | I/Imax |
| --- | --- |
| 6.87 | 62 |
| 13.76 | 38 |
| 30.38 | 71 |
| 31.65 | 73 |
| 32.53 | 100 |
| 38.87 | 36 |
| 44.83 | 34 |
| 55.91 | 30 |

***

Simulated powder X-ray diffraction pattern of SrCa2In4 for Cu Kα X-rays, from a cell relaxed with PBE.

Atomic structure:
Lattice parameters (Å, degrees): 11.135 11.135 11.135 159.55 154.02 33.29
Fractional coordinates of all 7 atoms:
Sr (0.000, 0.000, 0.000)
Ca (0.305, 0.805, 0.500)
Ca (0.695, 0.195, 0.500)
In (0.149, 0.649, 0.500)
In (0.430, 0.430, 0.000)
In (0.570, 0.570, 0.000)
In (0.851, 0.351, 0.500)

Main lines, low angle first (2θ = 5–70°):
| Position (°2θ) | I/Imax |
| --- | --- |
| 8.29 | 32 |
| 22.87 | 38 |
| 29.99 | 100 |
| 30.83 | 34 |
| 34.45 | 91 |
| 35.88 | 46 |
| 38.50 | 43 |
| 58.63 | 37 |